# Ba2MgHg7
Simulated powder XRD pattern, a wavelength of 1.5418 Å. Input: a GGA-PBE-relaxed structure.
Kinematic intensities with the Lorentz-polarization factor, no thermal factor.

The 10 most intense peaks (15° ≤ 2θ ≤ 90°), sorted by position:
2θ 19.8, I = 37.4, (1 0 1); 2θ 27.7, I = 56.4, (1 0 3); 2θ 29.8, I = 100.0, (1 1 2); 2θ 37.8, I = 73.9, (2 0 0); 2θ 38.3, I = 62.8, (1 1 4); 2θ 39.2, I = 48.0, (1 0 5); 2θ 47.5, I = 26.2, (2 1 3); 2θ 54.5, I = 25.9, (2 2 0); 2θ 55.5, I = 35.0, (2 1 5); 2θ 63.3, I = 23.9, (3 1 2)

Structural model:
```
data_Ba2MgHg7
_cell_length_a 4.764
_cell_length_b 4.764
_cell_length_c 13.134
_cell_angle_alpha 90.00
_cell_angle_beta 90.00
_cell_angle_gamma 90.00
_space_group_name_H-M_alt 'P -4 m 2'
_space_group_IT_number 115
_space_group_name_Hall 'P -4 -2'
loop_
_atom_site_label
_atom_site_type_symbol
_atom_site_fract_x
_atom_site_fract_y
_atom_site_fract_z
Ba1 Ba 0.000 0.500 0.247
Mg1 Mg 0.000 0.000 0.500
Hg1 Hg 0.000 0.000 0.000
Hg2 Hg 0.000 0.500 0.633
Hg3 Hg 0.000 0.500 0.857
Hg4 Hg 0.500 0.500 0.000
Hg5 Hg 0.500 0.500 0.500
```